No. 1
# MgCuN
Simulated XRD peak list, CuKα. Input: a cell relaxed with PBE.
Kinematic intensities with the Lorentz-polarization factor, no thermal factor.

Most intense lines, 2θ from 15° to 90°, in order of falling intensity:
hkl 1 0 2, 39.7°, intensity 100; hkl 1 1 0, 35.4°, intensity 53; hkl 2 1 2, 66.4°, intensity 39; hkl 1 0 0, 24.8°, intensity 38; hkl 2 0 0, 50.9°, intensity 31; hkl 0 0 2, 30.4°, intensity 18; hkl 2 2 0, 74.7°, intensity 18; hkl 2 0 4, 85.5°, intensity 18; hkl 3 0 2, 88.1°, intensity 9; hkl 2 0 2, 60.4°, intensity 8

Cell and atoms:
abc: 3.591 3.591 5.871
angles: 90.00 90.00 90.00
Space group P-4m2 (No. 115)
Symmetry-distinct sites (fractional):
Mg1 0.000 0.000 0.000 x1
Mg2 0.000 0.000 0.500 x1
Cu1 0.500 0.500 0.230 x2
N1 0.000 0.500 0.734 x2

***

No. 2
# Ba6Ag5Sn
Simulated XRD peak list, CuKα. Input: a cell relaxed with PBE.
Kinematic intensities with the Lorentz-polarization factor, no thermal factor.

Most intense lines, 2θ from 15° to 90°, in order of falling intensity:
hkl 1 2 3, 30.4°, intensity 100; hkl 2 0 0, 30.6°, intensity 20; hkl 1 2 9, 54.0°, intensity 15; hkl 3 2 3, 54.2°, intensity 15; hkl 2 0 6, 43.7°, intensity 15; hkl 3 2 9, 72.0°, intensity 10; hkl 2 4 6, 63.2°, intensity 10; hkl 0 4 6, 53.8°, intensity 8; hkl 2 4 0, 53.9°, intensity 8; hkl 0 4 0, 43.3°, intensity 7

Cell and atoms:
abc: 5.843 8.364 17.620
angles: 90.00 90.00 90.00
Space group Immm (No. 71)
Symmetry-distinct sites (fractional):
Ba1 0.000 0.249 0.000 x4
Ba2 0.000 0.250 0.334 x8
Ag1 0.000 0.000 0.168 x4
Ag2 0.000 0.500 0.166 x4
Ag3 0.000 0.500 0.500 x2
Sn1 0.000 0.000 0.500 x2

***

No. 3
# Ag4Br3Cl
Simulated XRD peak list, CuKα. Input: a cell relaxed with PBE.
Kinematic intensities with the Lorentz-polarization factor, no thermal factor.

Most intense lines, 2θ from 15° to 90°, in order of falling intensity:
hkl 2 1 0, 23.2°, intensity 100; hkl 4 0 0, 40.8°, intensity 87; hkl 0 2 3, 44.7°, intensity 83; hkl 0 2 1, 26.4°, intensity 79; hkl 0 0 2, 24.9°, intensity 61; hkl 4 0 2, 48.4°, intensity 57; hkl 2 1 2, 34.3°, intensity 39; hkl 6 1 3, 77.0°, intensity 31; hkl 0 2 5, 70.1°, intensity 30; hkl 4 2 3, 62.1°, intensity 30

Cell and atoms:
abc: 8.851 7.664 7.162
angles: 90.00 90.00 90.00
Space group Pmn2_1 (No. 31)
Symmetry-distinct sites (fractional):
Ag1 0.000 0.154 0.000 x2
Ag2 0.000 0.829 0.514 x2
Ag3 0.245 0.670 0.998 x4
Br1 0.000 0.163 0.382 x2
Br2 0.249 0.332 0.880 x4
Cl1 0.000 0.830 0.882 x2